[1]
This entry pairs a crystal structure of Ac7Ge2Pb with its calculated X-ray powder pattern. Radiation: a wavelength of 1.5418 Å. Structure: a GGA-PBE-relaxed structure.

Crystal structure
```
Ac7Ge2Pb
1.0
-2.6740 2.6740 13.2383
2.6740 -2.6740 13.2383
2.6740 2.6740 -13.2383
Ac Ge Pb
7 2 1
Direct
0.0000 0.0000 0.0000
0.1045 0.6045 0.5000
0.2500 0.7500 0.5000
0.3955 0.8955 0.5000
0.6045 0.1045 0.5000
0.7500 0.2500 0.5000
0.8955 0.3955 0.5000
0.1787 0.1787 0.0000
0.8213 0.8213 0.0000
0.5000 0.5000 0.0000
```

Principal peaks in the range 2θ from 5° to 70°, by angle:
| Position (°2θ) | intensity |
| --- | --- |
| 23.5 | 21.2 |
| 27.2 | 27.8 |
| 31.1 | 100.0 |
| 33.5 | 57.0 |
| 43.5 | 21.9 |
| 48.1 | 24.2 |
| 54.2 | 25.5 |
| 58.4 | 34.7 |

[2]
This entry pairs a crystal structure of Nd3Ge7Os2 with its calculated X-ray powder pattern. Radiation: a wavelength of 1.5418 Å. Structure: a GGA-PBE-relaxed structure.

Crystal structure
```
Nd3Ge7Os2
1.0
4.4081 0.0000 0.0000
0.0000 4.3932 0.0000
-2.2000 0.0000 12.9660
Nd Ge Os
3 7 2
Direct
0.0000 0.0000 0.0000
0.3166 0.5000 0.6336
0.6834 0.5000 0.3664
0.0872 0.5000 0.1731
0.2212 0.0000 0.4429
0.4133 0.0000 0.8273
0.5000 0.5000 0.0000
0.5867 0.0000 0.1727
0.7788 0.0000 0.5571
0.9128 0.5000 0.8269
0.1282 0.0000 0.2560
0.8718 0.0000 0.7440
```

Principal peaks in the range 2θ from 5° to 70°, by angle:
| Position (°2θ) | intensity |
| --- | --- |
| 28.9 | 57.1 |
| 30.5 | 50.3 |
| 33.6 | 100.0 |
| 34.4 | 65.2 |
| 37.8 | 56.6 |
| 40.9 | 65.9 |
| 41.1 | 65.2 |
| 59.4 | 43.8 |

[3]
This entry pairs a crystal structure of AlSiPN4 with its calculated X-ray powder pattern. Radiation: a wavelength of 1.5418 Å. Structure: a GGA-PBE-relaxed structure.

Crystal structure
```
AlSiPN4
1.0
9.6963 0.0000 0.0000
0.0000 2.9248 0.0000
-4.5273 0.0000 5.5035
Al Si P N
2 2 2 8
Direct
0.0000 0.0000 0.0000
0.5000 0.5000 0.0000
0.1042 0.5000 0.7388
0.6042 0.0000 0.7388
0.2542 0.5000 0.4578
0.7542 0.0000 0.4578
0.0622 0.5000 0.1953
0.1262 0.0000 0.8817
0.2591 0.5000 0.6922
0.3667 0.0000 0.4850
0.5622 0.0000 0.1953
0.6262 0.5000 0.8817
0.7591 0.0000 0.6922
0.8667 0.5000 0.4850
```

Principal peaks in the range 2θ from 5° to 70°, by angle:
| Position (°2θ) | intensity |
| --- | --- |
| 16.1 | 68.0 |
| 18.3 | 100.0 |
| 25.2 | 90.7 |
| 32.9 | 48.7 |
| 33.1 | 72.0 |
| 36.6 | 76.8 |
| 37.2 | 37.2 |
| 64.1 | 40.3 |